HfTa2H4: calculated powder diffractogram (copper Kα), based on a DFT-relaxed cell (GGA-PBE, Alexandria).

Structural model:
Lattice parameters (Å, degrees): 5.8263 5.8263 5.8132 119.74 119.74 90.39
Atoms (fractional coordinates):
1 Hf 0.1226 0.8774 0.7500
2 Hf 0.8774 0.1226 0.2500
3 Ta 0.0000 0.5000 0.0000
4 Ta 0.5000 0.0000 0.5000
5 Ta 0.5000 0.5000 0.0000
6 Ta 0.5000 0.5000 0.5000
7 H 0.2634 0.7341 0.4711
8 H 0.2636 0.2939 0.0298
9 H 0.2659 0.7366 0.0289
10 H 0.2939 0.2636 0.5298
11 H 0.7061 0.7364 0.4702
12 H 0.7341 0.2634 0.9711
13 H 0.7364 0.7061 0.9702
14 H 0.7366 0.2659 0.5289

Principal peaks in the range 15 to 90 degrees two-theta, low angle first:
2θ 18.64, rel. 86
2θ 30.65, rel. 325
2θ 36.07, rel. 1000
2θ 36.24, rel. 494
2θ 37.79, rel. 596
2θ 54.43, rel. 78
2θ 58.01, rel. 257
2θ 58.37, rel. 127
2θ 63.71, rel. 152
2θ 63.89, rel. 226
2θ 75.65, rel. 87
2θ 76.48, rel. 118